# 1
# PuIBr2O6
Computed powder XRD pattern, Cu Kα X-rays. Input: a crystal structure in Alexandria, relaxed with PBE.
Intensities are scaled so that the largest is 1000.

Principal peaks in the range 10° ≤ 2θ ≤ 90°, by angle:
| 2θ (°) | d_spacing | I_rel |
| --- | --- | --- |
| 13.3 | 6.649 | 867 |
| 18.6 | 4.763 | 519 |
| 22.8 | 3.893 | 831 |
| 23.0 | 3.875 | 1000 |
| 26.3 | 3.384 | 310 |
| 26.8 | 3.326 | 983 |
| 29.6 | 3.017 | 328 |
| 32.2 | 2.779 | 350 |
| 35.2 | 2.551 | 236 |
| 46.9 | 1.938 | 301 |

Unit cell a=5.566 b=5.690 c=6.980 alpha=77.90 beta=76.70 gamma=87.42
Positions (direct):
Pu1 0.000 0.000 0.000
I1 0.500 0.500 0.000
Br1 0.383 0.657 0.560
Br2 0.617 0.343 0.440
O1 0.150 0.990 0.742
O2 0.200 0.687 0.097
O3 0.291 0.220 0.022
O4 0.709 0.780 0.978
O5 0.800 0.313 0.903
O6 0.850 0.010 0.258


# 2
# CaHo2In2
Computed powder XRD pattern, Cu Kα X-rays. Input: a crystal structure in Alexandria, relaxed with PBE.
Intensities are scaled so that the largest is 1000.

Principal peaks in the range 10° ≤ 2θ ≤ 90°, by angle:
| 2θ (°) | d_spacing | I_rel |
| --- | --- | --- |
| 21.8 | 4.071 | 175 |
| 31.2 | 2.865 | 110 |
| 32.5 | 2.759 | 836 |
| 33.6 | 2.669 | 1000 |
| 46.4 | 1.956 | 112 |
| 46.6 | 1.950 | 109 |
| 47.5 | 1.912 | 130 |
| 59.3 | 1.559 | 145 |
| 59.4 | 1.556 | 180 |
| 60.0 | 1.542 | 122 |

Unit cell a=5.331 b=5.338 c=6.494 alpha=66.02 beta=65.90 gamma=60.12
Positions (direct):
Ca1 0.000 0.000 0.000
Ho1 0.218 0.220 0.344
Ho2 0.782 0.780 0.656
In1 0.414 0.411 0.759
In2 0.586 0.589 0.241


# 3
# Tl2TcI5
Computed powder XRD pattern, Cu Kα X-rays. Input: a crystal structure in Alexandria, relaxed with PBE.
Intensities are scaled so that the largest is 1000.

Principal peaks in the range 10° ≤ 2θ ≤ 90°, by angle:
| 2θ (°) | d_spacing | I_rel |
| --- | --- | --- |
| 12.6 | 7.052 | 704 |
| 15.4 | 5.748 | 445 |
| 20.9 | 4.243 | 611 |
| 26.2 | 3.405 | 353 |
| 28.4 | 3.147 | 947 |
| 30.4 | 2.938 | 1000 |
| 32.1 | 2.787 | 807 |
| 35.5 | 2.528 | 320 |
| 42.1 | 2.148 | 863 |
| 51.9 | 1.761 | 482 |

Unit cell a=7.722 b=7.722 c=15.936 alpha=90.00 beta=90.00 gamma=131.89
Positions (direct):
Tl1 0.184 0.816 0.562
Tl2 0.184 0.816 0.938
Tl3 0.816 0.184 0.062
Tl4 0.816 0.184 0.438
Tc1 0.189 0.811 0.250
Tc2 0.811 0.189 0.750
I1 0.057 0.943 0.127
I2 0.057 0.943 0.373
I3 0.309 0.691 0.750
I4 0.331 0.669 0.132
I5 0.331 0.669 0.368
I6 0.669 0.331 0.632
I7 0.669 0.331 0.868
I8 0.691 0.309 0.250
I9 0.943 0.057 0.627
I10 0.943 0.057 0.873


# 4
# LaDyTl3
Computed powder XRD pattern, Cu Kα X-rays. Input: a crystal structure in Alexandria, relaxed with PBE.
Intensities are scaled so that the largest is 1000.

Principal peaks in the range 10° ≤ 2θ ≤ 90°, by angle:
| 2θ (°) | d_spacing | I_rel |
| --- | --- | --- |
| 19.2 | 4.613 | 202 |
| 26.9 | 3.315 | 261 |
| 30.3 | 2.946 | 241 |
| 30.9 | 2.890 | 1000 |
| 37.0 | 2.427 | 348 |
| 39.1 | 2.306 | 431 |
| 44.5 | 2.037 | 214 |
| 49.1 | 1.854 | 188 |
| 50.1 | 1.821 | 266 |
| 69.9 | 1.346 | 156 |

Unit cell a=7.415 b=7.415 c=6.630 alpha=90.00 beta=90.00 gamma=120.00
Positions (direct):
La1 0.333 0.667 0.250
La2 0.667 0.333 0.750
Dy1 0.000 0.000 0.000
Dy2 0.000 0.000 0.500
Tl1 0.199 0.398 0.750
Tl2 0.199 0.801 0.750
Tl3 0.398 0.199 0.250
Tl4 0.602 0.801 0.750
Tl5 0.801 0.199 0.250
Tl6 0.801 0.602 0.250


# 5
# Y3Th2Ru2
Computed powder XRD pattern, Cu Kα X-rays. Input: a crystal structure in Alexandria, relaxed with PBE.
Intensities are scaled so that the largest is 1000.

Principal peaks in the range 10° ≤ 2θ ≤ 90°, by angle:
| 2θ (°) | d_spacing | I_rel |
| --- | --- | --- |
| 15.7 | 5.657 | 389 |
| 21.9 | 4.064 | 353 |
| 28.0 | 3.188 | 379 |
| 30.9 | 2.893 | 1000 |
| 31.5 | 2.840 | 619 |
| 32.1 | 2.787 | 744 |
| 33.3 | 2.694 | 726 |
| 34.8 | 2.581 | 511 |
| 47.2 | 1.925 | 323 |
| 58.0 | 1.590 | 253 |

Unit cell a=3.851 b=6.384 c=8.747 alpha=110.62 beta=90.06 gamma=107.54
Positions (direct):
Y1 0.000 0.000 0.000
Y2 0.121 0.242 0.417
Y3 0.879 0.758 0.583
Th1 0.339 0.677 0.197
Th2 0.661 0.323 0.803
Ru1 0.308 0.616 0.787
Ru2 0.692 0.384 0.213


# 6
# Cr2AgIr2
Computed powder XRD pattern, Cu Kα X-rays. Input: a crystal structure in Alexandria, relaxed with PBE.
Intensities are scaled so that the largest is 1000.

Principal peaks in the range 10° ≤ 2θ ≤ 90°, by angle:
| 2θ (°) | d_spacing | I_rel |
| --- | --- | --- |
| 27.1 | 3.293 | 615 |
| 34.4 | 2.603 | 176 |
| 38.7 | 2.329 | 664 |
| 41.6 | 2.171 | 462 |
| 43.5 | 2.083 | 1000 |
| 51.1 | 1.786 | 236 |
| 62.4 | 1.488 | 215 |
| 63.8 | 1.458 | 267 |
| 78.5 | 1.219 | 149 |
| 82.9 | 1.164 | 147 |

Unit cell a=7.364 b=7.364 c=2.689 alpha=90.00 beta=90.00 gamma=90.00
Positions (direct):
Cr1 0.116 0.384 0.000
Cr2 0.384 0.884 0.000
Cr3 0.616 0.116 0.000
Cr4 0.884 0.616 0.000
Ag1 0.000 0.000 0.000
Ag2 0.500 0.500 0.000
Ir1 0.168 0.668 0.500
Ir2 0.332 0.168 0.500
Ir3 0.668 0.832 0.500
Ir4 0.832 0.332 0.500


# 7
# Zn5AgPd6
Computed powder XRD pattern, Cu Kα X-rays. Input: a crystal structure in Alexandria, relaxed with PBE.
Intensities are scaled so that the largest is 1000.

Principal peaks in the range 10° ≤ 2θ ≤ 90°, by angle:
| 2θ (°) | d_spacing | I_rel |
| --- | --- | --- |
| 40.3 | 2.236 | 1000 |
| 43.6 | 2.078 | 207 |
| 44.2 | 2.048 | 192 |
| 52.6 | 1.741 | 105 |
| 63.8 | 1.458 | 124 |
| 70.6 | 1.334 | 84 |
| 71.1 | 1.326 | 80 |
| 77.8 | 1.228 | 137 |
| 78.7 | 1.215 | 124 |
| 87.2 | 1.118 | 93 |

Unit cell a=7.360 b=7.360 c=7.360 alpha=147.20 beta=123.54 gamma=66.85
Positions (direct):
Zn1 0.000 0.000 0.000
Zn2 0.173 0.673 0.500
Zn3 0.343 0.343 0.000
Zn4 0.657 0.657 0.000
Zn5 0.827 0.327 0.500
Ag1 0.500 0.000 0.500
Pd1 0.065 0.829 0.236
Pd2 0.228 0.500 0.728
Pd3 0.406 0.171 0.236
Pd4 0.594 0.829 0.764
Pd5 0.772 0.500 0.272
Pd6 0.935 0.171 0.764


# 8
# YPaBi2O6
Computed powder XRD pattern, Cu Kα X-rays. Input: a crystal structure in Alexandria, relaxed with PBE.
Intensities are scaled so that the largest is 1000.

Principal peaks in the range 10° ≤ 2θ ≤ 90°, by angle:
| 2θ (°) | d_spacing | I_rel |
| --- | --- | --- |
| 28.3 | 3.154 | 469 |
| 29.4 | 3.034 | 1000 |
| 29.6 | 3.018 | 943 |
| 30.2 | 2.960 | 456 |
| 41.9 | 2.158 | 484 |
| 42.6 | 2.122 | 193 |
| 50.7 | 1.800 | 249 |
| 51.0 | 1.790 | 214 |
| 53.1 | 1.724 | 441 |
| 53.3 | 1.720 | 189 |

Unit cell a=6.043 b=6.043 c=6.307 alpha=121.10 beta=121.10 gamma=58.67
Positions (direct):
Y1 0.000 0.000 0.000
Pa1 0.500 0.500 0.500
Bi1 0.240 0.240 0.760
Bi2 0.760 0.760 0.240
O1 0.170 0.663 0.170
O2 0.258 0.258 0.375
O3 0.337 0.830 0.830
O4 0.663 0.170 0.170
O5 0.742 0.742 0.625
O6 0.830 0.337 0.830